Starting from the GGA-PBE geometry in Alexandria, the powder X-ray diffraction pattern of LiZn2AgCl6 was computed for λ = 1.5418 Å (Cu Kα).
Lines closer than 0.1° are merged.

Top 10 peaks for 5° ≤ 2θ ≤ 70°, low angle first:
- 2θ = 10.21°, I = 25.7
- 2θ = 15.14°, I = 51.1
- 2θ = 19.05°, I = 43.9
- 2θ = 21.90°, I = 97.7
- 2θ = 22.89°, I = 100.0
- 2θ = 25.63°, I = 51.7
- 2θ = 27.41°, I = 63.7
- 2θ = 42.56°, I = 45.5
- 2θ = 49.25°, I = 49.7
- 2θ = 50.88°, I = 33.9

Structural model:
Unit cell a=8.935 b=8.935 c=6.798 alpha=104.04 beta=104.04 gamma=86.30
Fractional coordinates of all 20 atoms:
1 Li 0.216 0.784 0.750
2 Li 0.784 0.216 0.250
3 Zn 0.219 0.386 0.256
4 Zn 0.386 0.219 0.756
5 Zn 0.614 0.781 0.244
6 Zn 0.781 0.614 0.744
7 Ag 0.125 0.875 0.250
8 Ag 0.875 0.125 0.750
9 Cl 0.032 0.199 0.144
10 Cl 0.131 0.620 0.408
11 Cl 0.199 0.032 0.644
12 Cl 0.297 0.429 0.972
13 Cl 0.380 0.869 0.092
14 Cl 0.429 0.297 0.472
15 Cl 0.571 0.703 0.528
16 Cl 0.620 0.131 0.908
17 Cl 0.703 0.571 0.028
18 Cl 0.801 0.968 0.356
19 Cl 0.869 0.380 0.592
20 Cl 0.968 0.801 0.856